For BaBeVF6, a DFT-relaxed cell (PBE+U, Alexandria) gives the theoretical powder XRD pattern in this record (λ = 1.5418 Å (Cu Kα)).
Peak positions follow from Bragg's law for the DFT cell and can differ from measured ones.

Cell and atoms:
```
data_BaBeVF6
_symmetry_space_group_name_H-M 'C 1 2 1'
_symmetry_Int_Tables_number 5
_cell_length_a 5.269
_cell_length_b 9.109
_cell_length_c 5.515
_cell_angle_alpha 90.00
_cell_angle_beta 90.06
_cell_angle_gamma 90.00
loop_
_symmetry_equiv_pos_as_xyz
'x,y,z'
'-x,y,-z'
'x+1/2,y+1/2,z'
'-x+1/2,y+1/2,-z'
loop_
_atom_site_label
_atom_site_type_symbol
_atom_site_fract_x
_atom_site_fract_y
_atom_site_fract_z
Ba1 Ba 0.000 0.000 0.000
Be1 Be 0.000 0.333 0.500
V1 V 0.000 0.667 0.500
F1 F 0.125 0.478 0.688
F2 F 0.155 0.198 0.688
F3 F 0.221 0.823 0.688
```

Peak list (10 most intense, 2θ = 10–80°, most intense first)
- 2θ = 25.3°, intensity 100
- 2θ = 47.8°, intensity 31
- 2θ = 19.5°, intensity 23
- 2θ = 42.9°, intensity 20
- 2θ = 37.9°, intensity 19
- 2θ = 38.1°, intensity 19
- 2θ = 55.9°, intensity 17
- 2θ = 34.1°, intensity 15
- 2θ = 39.5°, intensity 12
- 2θ = 53.8°, intensity 10